# CsTbGeSe3
Theoretical X-ray powder pattern, CuKα. Input: a cell relaxed with PBE.

The 10 most intense peaks (10 to 90 degrees two-theta), most intense first:
2theta  I_rel
30.10  100
10.50  84
30.90  62
44.72  43
26.67  33
29.07  30
44.06  29
36.56  28
54.79  24
33.85  23

Structure:
```
data_CsTbGeSe3
_cell_length_a 9.2600
_cell_length_b 4.1102
_cell_length_c 11.5994
_cell_angle_alpha 90.00
_cell_angle_beta 111.98
_cell_angle_gamma 90.00
_symmetry_space_group_name_H-M 'P 1 21/m 1'
_symmetry_Int_Tables_number 11
loop_
_symmetry_equiv_pos_as_xyz
'x,y,z'
'-x,-y,-z'
'-x,y+1/2,-z'
'x,-y+1/2,z'
loop_
_atom_site_label
_atom_site_fract_x
_atom_site_fract_y
_atom_site_fract_z
Cs1 0.2358 0.2500 0.2783
Tb1 0.3647 0.7500 0.8456
Ge1 0.1263 0.2500 0.5629
Se1 0.1223 0.2500 0.7755
Se2 0.3189 0.7500 0.5825
Se3 0.4047 0.7500 0.1019
```


# ZrSn5
Theoretical X-ray powder pattern, CuKα. Input: a cell relaxed with PBE.

The 10 most intense peaks (10 to 90 degrees two-theta), most intense first:
2theta  I_rel
33.42  100
34.26  22
38.80  17
60.82  16
66.84  14
52.72  13
42.88  13
70.21  12
72.54  11
56.00  11

Structure:
```
data_ZrSn5
_cell_length_a 4.2178
_cell_length_b 15.7028
_cell_length_c 4.6416
_cell_angle_alpha 90.00
_cell_angle_beta 90.00
_cell_angle_gamma 90.00
_symmetry_space_group_name_H-M 'C m m m'
_symmetry_Int_Tables_number 65
_symmetry_space_group_name_Hall '-C 2 2'
loop_
_atom_site_label
_atom_site_fract_x
_atom_site_fract_y
_atom_site_fract_z
Zr1 0.0000 0.0000 0.0000
Sn1 0.0000 0.1601 0.5000
Sn2 0.0000 0.3436 0.0000
Sn3 0.0000 0.5000 0.5000
```


# NdH8PdRh4
Theoretical X-ray powder pattern, CuKα. Input: a cell relaxed with PBE.

The 10 most intense peaks (10 to 90 degrees two-theta), most intense first:
2theta  I_rel
37.02  100
38.79  33
37.10  32
59.66  25
31.49  22
31.38  21
65.73  18
65.49  18
59.76  17
56.02  13

Structure:
```
data_NdH8PdRh4
_cell_length_a 5.6828
_cell_length_b 5.6828
_cell_length_c 13.9869
_cell_angle_alpha 90.00
_cell_angle_beta 90.00
_cell_angle_gamma 120.00
_symmetry_space_group_name_H-M 'R 3 m'
_symmetry_Int_Tables_number 160
_symmetry_space_group_name_Hall 'R 3 -2"'
loop_
_atom_site_label
_atom_site_fract_x
_atom_site_fract_y
_atom_site_fract_z
Nd1 0.0000 0.0000 0.0000
H1 0.0000 0.0000 0.3833
H2 0.0000 0.0000 0.8399
H3 0.0317 0.5158 0.8496
H4 0.0941 0.5470 0.3876
Pd1 0.0000 0.0000 0.6169
Rh1 0.0000 0.0000 0.2546
Rh2 0.0050 0.5025 0.1227
```


# Pr2Zn10Cd
Theoretical X-ray powder pattern, CuKα. Input: a cell relaxed with PBE.

The 10 most intense peaks (10 to 90 degrees two-theta), most intense first:
2theta  I_rel
34.07  100
44.71  43
30.48  31
37.05  31
36.93  28
41.71  21
35.57  21
36.47  20
57.16  20
34.44  17

Structure:
```
data_Pr2Zn10Cd
_cell_length_a 5.8301
_cell_length_b 6.1789
_cell_length_c 14.0817
_cell_angle_alpha 90.00
_cell_angle_beta 99.91
_cell_angle_gamma 90.00
_symmetry_space_group_name_H-M 'P 1 21/c 1'
_symmetry_Int_Tables_number 14
loop_
_symmetry_equiv_pos_as_xyz
'x,y,z'
'-x,-y,-z'
'-x,y+1/2,-z+1/2'
'x,-y+1/2,z+1/2'
loop_
_atom_site_label
_atom_site_fract_x
_atom_site_fract_y
_atom_site_fract_z
Pr1 0.0758 0.1355 0.1382
Zn1 0.1289 0.1662 0.4163
Zn2 0.2441 0.6375 0.2072
Zn3 0.2874 0.6271 0.0318
Zn4 0.4004 0.1496 0.8189
Zn5 0.4054 0.6123 0.8483
Cd1 0.5000 0.0000 0.0000
```